No. 1
For LaSn2IrAu, a cell relaxed with GGA-PBE gives the simulated powder XRD pattern in this record (Cu Kα).

```
data_LaSn2IrAu
_chemical_formula_sum 'La2 Sn4 Ir2 Au2'
_symmetry_space_group_name_H-M 'P 1 21/m 1'
_symmetry_Int_Tables_number 11
_symmetry_space_group_name_Hall '-P 2yb'
_cell_length_a 4.6809
_cell_length_b 4.6638
_cell_length_c 10.8124
_cell_angle_alpha 90.00
_cell_angle_beta 90.68
_cell_angle_gamma 90.00
loop_
_atom_site_label
_atom_site_fract_x
_atom_site_fract_y
_atom_site_fract_z
La1 0.2318 0.2500 0.2538
Sn1 0.2527 0.7500 0.4996
Sn2 0.2871 0.2500 0.8586
Ir1 0.2497 0.2500 0.6208
Au1 0.2120 0.7500 0.9990
```

Principal peaks in the range 2θ from 5° to 70°, by angle:
d (Å), I_rel, index
2.852, 47, 0 1 3
2.839, 35, 1 0 3
2.830, 100, 1 1 -2
2.809, 77, 1 1 2
2.340, 67, 2 0 0
2.332, 71, 0 2 0
2.101, 39, 1 1 -4
2.083, 41, 1 1 4
1.802, 31, 1 2 3
1.652, 45, 2 2 0

***

No. 2
For LiIrAuO3, a cell relaxed with GGA-PBE gives the simulated powder XRD pattern in this record (Cu Kα).

```
data_LiIrAuO3
_chemical_formula_sum 'Li4 Ir4 Au4 O12'
_symmetry_space_group_name_H-M 'P n m a'
_symmetry_Int_Tables_number 62
_symmetry_space_group_name_Hall '-P 2ac 2n'
_cell_length_a 12.7915
_cell_length_b 3.2968
_cell_length_c 7.4618
_cell_angle_alpha 90.00
_cell_angle_beta 90.00
_cell_angle_gamma 90.00
loop_
_atom_site_label
_atom_site_fract_x
_atom_site_fract_y
_atom_site_fract_z
Li1 0.2141 0.2500 0.0978
Ir1 0.0558 0.7500 0.9259
Au1 0.0411 0.7500 0.3705
O1 0.1424 0.7500 0.1400
O2 0.1747 0.7500 0.7561
O3 0.1828 0.2500 0.8364
```

Principal peaks in the range 2θ from 5° to 70°, by angle:
d (Å), I_rel, index
6.396, 100, 2 0 0
2.931, 24, 2 1 0
2.808, 24, 3 0 2
2.426, 49, 1 1 2
2.295, 26, 4 1 0
2.138, 19, 3 1 2
2.110, 19, 5 0 2
1.790, 15, 6 1 0
1.648, 7, 0 2 0
1.641, 7, 7 0 2

***

No. 3
For Ir3AuN5, a cell relaxed with GGA-PBE gives the simulated powder XRD pattern in this record (Cu Kα).

```
data_Ir3AuN5
_chemical_formula_sum 'Ir3 Au1 N5'
_symmetry_space_group_name_H-M 'P 6/m m m'
_symmetry_Int_Tables_number 191
_symmetry_space_group_name_Hall '-P 6 2'
_cell_length_a 5.6402
_cell_length_b 5.6402
_cell_length_c 3.8837
_cell_angle_alpha 90.00
_cell_angle_beta 90.00
_cell_angle_gamma 120.00
loop_
_atom_site_label
_atom_site_fract_x
_atom_site_fract_y
_atom_site_fract_z
Ir1 0.0000 0.5000 0.0000
Au1 0.0000 0.0000 0.5000
N1 0.0000 0.0000 0.0000
N2 0.3333 0.6667 0.3298
```

Principal peaks in the range 2θ from 5° to 70°, by angle:
d (Å), I_rel, index
3.884, 25, 0 0 1
3.040, 82, 1 0 1
2.442, 100, 2 0 0
2.282, 47, 1 1 1
2.067, 34, 2 0 1
1.942, 17, 0 0 2
1.667, 30, 2 1 1
1.520, 51, 2 0 2
1.502, 13, 3 0 1
1.410, 21, 2 2 0